# 1
Theoretical X-ray diffraction stick pattern of TeCl for Cu Kα, 1.54184 Å, from a DFT-relaxed cell (GGA-PBE, Alexandria).
Neutral-atom scattering factors, no anomalous dispersion.

Cell: 12.4613 5.2823 6.6608 Å, 90.00 90.00 90.00°
Space group Pmn2_1 (No. 31)
Inequivalent atoms, fractional coordinates:
Te: 0.0000 0.0276 0.0000
Te: 0.2418 0.0033 0.9681
Cl: 0.0000 0.7457 0.7249
Cl: 0.2338 0.4941 0.4651

Top 10 peaks for 15 to 90 degrees two-theta, in order of rising 2θ:
15.08°, 5.874 Å, intensity 50, (1 0 1)
16.78°, 5.282 Å, intensity 100, (0 1 0)
22.64°, 3.928 Å, intensity 47, (1 1 1)
26.77°, 3.330 Å, intensity 62, (0 0 2)
28.65°, 3.115 Å, intensity 72, (4 0 0)
31.76°, 2.817 Å, intensity 42, (0 1 2)
33.39°, 2.683 Å, intensity 38, (4 1 0)
39.61°, 2.275 Å, intensity 40, (4 0 2)
43.74°, 2.069 Å, intensity 43, (0 2 2)
53.13°, 1.724 Å, intensity 45, (4 2 2)


# 2
Theoretical X-ray diffraction stick pattern of Pr6Cu8P8O3 for Cu Kα, 1.54184 Å, from a DFT-relaxed cell (GGA-PBE, Alexandria).
Neutral-atom scattering factors, no anomalous dispersion.

Cell: 5.6259 26.7588 5.6255 Å, 90.00 90.00 90.00°
Space group C222 (No. 21)
Inequivalent atoms, fractional coordinates:
Pr: 0.2353 0.0504 0.2354
Pr: 0.2500 0.2500 0.7497
Cu: 0.0000 0.1534 0.0000
Cu: 0.0000 0.1539 0.5000
Cu: 0.0000 0.3447 0.5000
Cu: 0.0000 0.3461 0.0000
P: 0.2447 0.3942 0.7445
P: 0.2495 0.2060 0.2488
O: 0.0000 0.0000 0.0000
O: 0.0000 0.0000 0.5000
O: 0.0000 0.5000 0.0000

Top 10 peaks for 15 to 90 degrees two-theta, in order of rising 2θ:
24.50°, 3.633 Å, intensity 68, (1 3 1)
32.49°, 2.756 Å, intensity 100, (1 7 1)
33.49°, 2.676 Å, intensity 33, (0 10 0)
34.59°, 2.593 Å, intensity 56, (2 4 0)
37.81°, 2.379 Å, intensity 91, (2 6 0)
45.61°, 1.989 Å, intensity 62, (2 0 2)
49.88°, 1.828 Å, intensity 30, (1 13 1)
57.11°, 1.613 Å, intensity 35, (3 7 1)
57.76°, 1.596 Å, intensity 26, (2 10 2)
69.89°, 1.346 Å, intensity 21, (3 13 1)


# 3
Theoretical X-ray diffraction stick pattern of Rb2VCdS4 for Cu Kα, 1.54184 Å, from a DFT-relaxed cell (GGA-PBE, Alexandria).
Neutral-atom scattering factors, no anomalous dispersion.

Cell: 6.0180 13.7040 24.0983 Å, 90.00 90.00 90.00°
Space group Fddd (No. 70, origin choice 2)
Inequivalent atoms, fractional coordinates:
Rb: 0.1250 0.1250 0.3041
V: 0.1250 0.1250 0.6250
Cd: 0.1250 0.1250 0.1250
S: 0.0867 0.2784 0.8216

Top 10 peaks for 15 to 90 degrees two-theta, in order of rising 2θ:
24.75°, 3.598 Å, intensity 44, (1 3 1)
25.71°, 3.465 Å, intensity 100, (0 2 6)
26.01°, 3.426 Å, intensity 30, (0 4 0)
26.90°, 3.314 Å, intensity 44, (1 3 3)
30.79°, 2.904 Å, intensity 74, (1 3 5)
32.50°, 2.755 Å, intensity 53, (2 2 0)
37.34°, 2.408 Å, intensity 57, (2 0 6)
45.70°, 1.985 Å, intensity 30, (0 6 6)
46.07°, 1.970 Å, intensity 35, (2 4 6)
50.14°, 1.819 Å, intensity 32, (2 6 0)


# 4
Theoretical X-ray diffraction stick pattern of GeS5Cl for Cu Kα, 1.54184 Å, from a DFT-relaxed cell (GGA-PBE, Alexandria).
Neutral-atom scattering factors, no anomalous dispersion.

Cell: 4.3703 5.0262 10.8345 Å, 94.71 99.48 100.18°
Space group P1 (No. 1)
Inequivalent atoms, fractional coordinates:
Ge: 0.0000 0.0000 0.0000
S: 0.0861 0.0681 0.5620
S: 0.4455 0.3211 0.5022
S: 0.6952 0.0600 0.4240
S: 0.6962 0.3327 0.0462
S: 0.9772 0.6647 0.1474
Cl: 0.5883 0.8047 0.8485

Top 10 peaks for 15 to 90 degrees two-theta, in order of rising 2θ:
16.70°, 5.308 Å, intensity 100, (0 0 2)
18.05°, 4.914 Å, intensity 34, (0 1 0)
20.77°, 4.277 Å, intensity 19, (0 1 1)
21.15°, 4.202 Å, intensity 22, (1 0 -1)
23.21°, 3.832 Å, intensity 52, (0 1 -2)
24.03°, 3.703 Å, intensity 16, (1 0 1)
24.40°, 3.648 Å, intensity 25, (1 0 -2)
29.17°, 3.062 Å, intensity 36, (-1 1 2)
31.81°, 2.813 Å, intensity 17, (1 1 -2)
41.15°, 2.194 Å, intensity 18, (1 1 -4)


# 5
Theoretical X-ray diffraction stick pattern of MnVBiBr2 for Cu Kα, 1.54184 Å, from a DFT-relaxed cell (GGA-PBE, Alexandria).
Neutral-atom scattering factors, no anomalous dispersion.

Cell: 5.9698 5.9698 5.3056 Å, 90.00 90.00 90.00°
Space group P4/mmm (No. 123)
Inequivalent atoms, fractional coordinates:
Mn: 0.0000 0.0000 0.0000
V: 0.5000 0.5000 0.0000
Bi: 0.0000 0.0000 0.5000
Br: 0.0000 0.5000 0.5000

Top 10 peaks for 15 to 90 degrees two-theta, in order of rising 2θ:
16.71°, 5.306 Å, intensity 60, (0 0 1)
22.42°, 3.966 Å, intensity 70, (1 0 1)
29.94°, 2.985 Å, intensity 100, (2 0 0)
33.57°, 2.670 Å, intensity 29, (2 1 0)
33.79°, 2.653 Å, intensity 36, (0 0 2)
34.48°, 2.601 Å, intensity 42, (2 0 1)
37.72°, 2.385 Å, intensity 38, (2 1 1)
42.85°, 2.111 Å, intensity 37, (2 2 0)
45.76°, 1.983 Å, intensity 61, (2 0 2)
55.65°, 1.652 Å, intensity 34, (2 2 2)


# 6
Theoretical X-ray diffraction stick pattern of Pb7Se6 for Cu Kα, 1.54184 Å, from a DFT-relaxed cell (GGA-PBE, Alexandria).
Neutral-atom scattering factors, no anomalous dispersion.

Cell: 7.3268 7.3268 28.0165 Å, 90.00 90.00 120.00°
Space group R-3m (No. 166, hexagonal axes)
Inequivalent atoms, fractional coordinates:
Pb: 0.0000 0.0000 0.0000
Pb: 0.0009 0.5004 0.5784
Se: 0.0000 0.0000 0.1718
Se: 0.0000 0.0000 0.3140
Se: 0.0000 0.0000 0.4575

Top 10 peaks for 15 to 90 degrees two-theta, in order of rising 2θ:
19.01°, 4.669 Å, intensity 35, (0 0 6)
28.31°, 3.152 Å, intensity 81, (0 2 1)
28.85°, 3.094 Å, intensity 50, (2 0 2)
31.02°, 2.883 Å, intensity 100, (1 1 6)
32.43°, 2.761 Å, intensity 64, (2 0 5)
36.13°, 2.486 Å, intensity 96, (0 2 7)
38.28°, 2.351 Å, intensity 36, (2 0 8)
47.17°, 1.927 Å, intensity 30, (0 3 6)
49.78°, 1.832 Å, intensity 62, (2 2 0)
64.68°, 1.441 Å, intensity 29, (2 2 12)


# 7
Theoretical X-ray diffraction stick pattern of Sr2LaZn6 for Cu Kα, 1.54184 Å, from a DFT-relaxed cell (GGA-PBE, Alexandria).
Neutral-atom scattering factors, no anomalous dispersion.

Cell: 7.9926 7.9926 3.9950 Å, 90.00 90.00 120.00°
Space group P6/mmm (No. 191)
Inequivalent atoms, fractional coordinates:
Sr: 0.3333 0.6667 0.0000
La: 0.0000 0.0000 0.0000
Zn: 0.0000 0.3316 0.5000

Top 10 peaks for 15 to 90 degrees two-theta, in order of rising 2θ:
22.25°, 3.996 Å, intensity 6, (0 0 1)
31.67°, 2.825 Å, intensity 100, (1 1 1)
39.04°, 2.307 Å, intensity 56, (3 0 0)
45.40°, 1.998 Å, intensity 14, (0 0 2)
51.11°, 1.787 Å, intensity 26, (2 2 1)
61.39°, 1.510 Å, intensity 29, (3 0 2)
66.14°, 1.413 Å, intensity 23, (4 1 1)
70.72°, 1.332 Å, intensity 9, (3 3 0)
75.21°, 1.263 Å, intensity 8, (1 1 3)
88.16°, 1.108 Å, intensity 16, (3 3 2)


# 8
Theoretical X-ray diffraction stick pattern of Pm2NdSm2Dy2 for Cu Kα, 1.54184 Å, from a DFT-relaxed cell (GGA-PBE, Alexandria).
Neutral-atom scattering factors, no anomalous dispersion.

Cell: 11.4272 5.1128 8.1002 Å, 90.00 98.07 90.00°
Space group C2/m (No. 12)
Inequivalent atoms, fractional coordinates:
Pm: 0.1431 0.0000 0.4291
Nd: 0.0000 0.0000 0.0000
Sm: 0.0716 0.5000 0.7159
Dy: 0.2147 0.5000 0.1419

Top 10 peaks for 15 to 90 degrees two-theta, in order of rising 2θ:
30.26°, 2.954 Å, intensity 100, (1 1 2)
35.08°, 2.558 Å, intensity 51, (4 0 1)
50.43°, 1.810 Å, intensity 18, (2 0 4)
50.49°, 1.808 Å, intensity 18, (4 2 1)
59.95°, 1.543 Å, intensity 29, (5 1 3)
60.02°, 1.541 Å, intensity 14, (7 1 0)
62.88°, 1.478 Å, intensity 6, (2 2 4)
63.00°, 1.476 Å, intensity 6, (6 2 -2)
82.16°, 1.173 Å, intensity 9, (7 3 0)
84.75°, 1.144 Å, intensity 10, (8 2 2)